[1]
For CeSi2Au4, a crystal structure in the Materials Project, relaxed with GGA-PBE gives the calculated powder diffractogram in this record (Cu Kα X-rays).
Lines closer than 0.1° are merged.

Most intense lines, 2θ = 10–80°, sorted by position:
2θ 12.74, d 6.950, I = 24
2θ 34.89, d 2.571, I = 100
2θ 38.87, d 2.317, I = 16
2θ 41.31, d 2.186, I = 36
2θ 43.80, d 2.067, I = 13
2θ 58.01, d 1.590, I = 20
2θ 59.84, d 1.546, I = 12
2θ 67.83, d 1.382, I = 13
2θ 71.18, d 1.325, I = 26
2θ 73.68, d 1.286, I = 10

Crystal structure
Cell lengths 4.3729, 13.9000, 4.3700 Å; angles 90.00, 90.00, 90.00 degrees
Fractional coordinates of all 14 atoms:
Ce 0.0000 0.0000 0.0000
Ce 0.5000 0.5000 0.0000
Si 0.0000 0.4155 0.5000
Si 0.0000 0.5845 0.5000
Si 0.5000 0.0845 0.5000
Si 0.5000 0.9155 0.5000
Au 0.0000 0.1738 0.5000
Au 0.0000 0.3260 0.0000
Au 0.0000 0.6740 0.0000
Au 0.0000 0.8262 0.5000
Au 0.5000 0.1740 0.0000
Au 0.5000 0.3262 0.5000
Au 0.5000 0.6738 0.5000
Au 0.5000 0.8260 0.0000

---

[2]
For TeMoWSeS2, a crystal structure in the Materials Project, relaxed with GGA-PBE gives the calculated powder diffractogram in this record (Cu Kα X-rays).
Lines closer than 0.1° are merged.

Most intense lines, 2θ = 10–80°, sorted by position:
2θ 11.45, d 7.728, I = 100
2θ 13.75, d 6.440, I = 18
2θ 31.26, d 2.861, I = 35
2θ 33.37, d 2.685, I = 16
2θ 36.48, d 2.463, I = 67
2θ 37.76, d 2.382, I = 11
2θ 43.91, d 2.062, I = 41
2θ 45.65, d 1.987, I = 12
2θ 55.61, d 1.653, I = 24
2θ 77.64, d 1.230, I = 11

Crystal structure
Cell lengths 3.3062, 3.3062, 38.6414 Å; angles 90.00, 90.00, 120.00 degrees
Fractional coordinates of all 12 atoms:
Te 0.0000 0.0000 0.0000
Te 0.0000 0.0000 0.0996
Mo 0.0000 0.0000 0.2375
Mo 0.0000 0.0000 0.8606
W 0.3333 0.6667 0.0498
W 0.3333 0.6667 0.4251
Se 0.3333 0.6667 0.8171
Se 0.3333 0.6667 0.9041
S 0.0000 0.0000 0.3854
S 0.0000 0.0000 0.4648
S 0.3333 0.6667 0.1980
S 0.3333 0.6667 0.2770

---

[3]
For CeU2O6, a crystal structure in the Materials Project, relaxed with GGA-PBE gives the calculated powder diffractogram in this record (Cu Kα X-rays).
Lines closer than 0.1° are merged.

Most intense lines, 2θ = 10–80°, sorted by position:
2θ 28.46, d 3.136, I = 100
2θ 32.84, d 2.728, I = 12
2θ 33.06, d 2.710, I = 23
2θ 47.29, d 1.922, I = 34
2θ 47.45, d 1.916, I = 17
2θ 55.97, d 1.643, I = 16
2θ 56.27, d 1.635, I = 31
2θ 58.91, d 1.568, I = 10
2θ 76.36, d 1.247, I = 13
2θ 76.61, d 1.244, I = 7

Crystal structure
Cell lengths 8.6198, 8.6198, 8.6198 Å; angles 154.31, 154.31, 36.64 degrees
Fractional coordinates of all 9 atoms:
Ce 0.0000 0.0000 0.0000
U 0.3338 0.3338 0.0000
U 0.6662 0.6662 0.0000
O 0.0882 0.5882 0.5000
O 0.2500 0.7500 0.5000
O 0.4118 0.9118 0.5000
O 0.5882 0.0882 0.5000
O 0.7500 0.2500 0.5000
O 0.9118 0.4118 0.5000

---

[4]
For U2NiC3, a crystal structure in the Materials Project, relaxed with GGA-PBE gives the calculated powder diffractogram in this record (Cu Kα X-rays).
Lines closer than 0.1° are merged.

Most intense lines, 2θ = 10–80°, sorted by position:
2θ 26.00, d 3.427, I = 36
2θ 27.13, d 3.287, I = 27
2θ 28.78, d 3.102, I = 31
2θ 29.58, d 3.020, I = 46
2θ 30.59, d 2.922, I = 42
2θ 31.15, d 2.872, I = 34
2θ 35.45, d 2.532, I = 100
2θ 40.40, d 2.233, I = 30
2θ 50.48, d 1.808, I = 27
2θ 51.48, d 1.775, I = 25

Crystal structure
Cell lengths 6.3844, 3.5503, 13.1479 Å; angles 90.00, 90.00, 90.00 degrees
Fractional coordinates of all 24 atoms:
U 0.1261 0.2500 0.2095
U 0.2481 0.7500 0.9773
U 0.2519 0.2500 0.4773
U 0.3739 0.7500 0.7095
U 0.6261 0.2500 0.2905
U 0.7481 0.7500 0.5227
U 0.7519 0.2500 0.0227
U 0.8739 0.7500 0.7905
Ni 0.0082 0.2500 0.6518
Ni 0.4918 0.7500 0.1518
Ni 0.5082 0.2500 0.8482
Ni 0.9918 0.7500 0.3482
C 0.0214 0.2500 0.9021
C 0.1049 0.7500 0.5900
C 0.1803 0.2500 0.8227
C 0.3197 0.7500 0.3227
C 0.3951 0.2500 0.0900
C 0.4786 0.7500 0.4021
C 0.5214 0.2500 0.5979
C 0.6049 0.7500 0.9100
C 0.6803 0.2500 0.6773
C 0.8197 0.7500 0.1773
C 0.8951 0.2500 0.4100
C 0.9786 0.7500 0.0979

---

[5]
For KSe2O6, a crystal structure in the Materials Project, relaxed with GGA-PBE gives the calculated powder diffractogram in this record (Cu Kα X-rays).
Lines closer than 0.1° are merged.

Most intense lines, 2θ = 10–80°, sorted by position:
2θ 20.63, d 4.306, I = 17
2θ 26.26, d 3.393, I = 100
2θ 26.90, d 3.315, I = 19
2θ 29.39, d 3.039, I = 15
2θ 40.26, d 2.240, I = 15
2θ 44.29, d 2.045, I = 10
2θ 45.95, d 1.975, I = 10
2θ 47.13, d 1.928, I = 14
2θ 50.26, d 1.815, I = 13
2θ 54.05, d 1.697, I = 10

Crystal structure
Cell lengths 15.5908, 6.6293, 6.0779 Å; angles 90.00, 90.00, 90.00 degrees
Fractional coordinates of all 36 atoms:
K 0.0000 0.2441 0.2500
K 0.0000 0.7559 0.7500
K 0.5000 0.2559 0.7500
K 0.5000 0.7441 0.2500
Se 0.1591 0.2690 0.7405
Se 0.1591 0.7310 0.2405
Se 0.3409 0.2310 0.2405
Se 0.3409 0.7690 0.7405
Se 0.6591 0.2310 0.2595
Se 0.6591 0.7690 0.7595
Se 0.8409 0.2690 0.7595
Se 0.8409 0.7310 0.2595
O 0.0984 0.1051 0.6053
O 0.0984 0.8949 0.1053
O 0.0993 0.4227 0.8944
O 0.0993 0.5773 0.3944
O 0.2445 0.1734 0.8669
O 0.2445 0.8266 0.3669
O 0.2555 0.3266 0.3669
O 0.2555 0.6734 0.8669
O 0.4007 0.0773 0.3944
O 0.4007 0.9227 0.8944
O 0.4016 0.3949 0.1053
O 0.4016 0.6051 0.6053
O 0.5984 0.3949 0.3947
O 0.5984 0.6051 0.8947
O 0.5993 0.0773 0.1056
O 0.5993 0.9227 0.6056
O 0.7445 0.3266 0.1331
O 0.7445 0.6734 0.6331
O 0.7555 0.1734 0.6331
O 0.7555 0.8266 0.1331
O 0.9007 0.4227 0.6056
O 0.9007 0.5773 0.1056
O 0.9016 0.1051 0.8947
O 0.9016 0.8949 0.3947

---

[6]
For Zn2Sb2O5, a crystal structure in the Materials Project, relaxed with GGA-PBE gives the calculated powder diffractogram in this record (Cu Kα X-rays).
Lines closer than 0.1° are merged.

Most intense lines, 2θ = 10–80°, sorted by position:
2θ 15.02, d 5.900, I = 24
2θ 19.65, d 4.517, I = 44
2θ 26.42, d 3.374, I = 51
2θ 28.18, d 3.167, I = 20
2θ 31.20, d 2.867, I = 100
2θ 32.29, d 2.772, I = 35
2θ 46.79, d 1.941, I = 17
2θ 47.11, d 1.929, I = 15
2θ 49.13, d 1.855, I = 17
2θ 49.72, d 1.834, I = 19

Crystal structure
Cell lengths 6.7471, 12.1629, 3.7091 Å; angles 90.00, 90.00, 90.00 degrees
Fractional coordinates of all 18 atoms:
Zn 0.1728 0.1865 0.0000
Zn 0.3272 0.6865 0.0000
Zn 0.6728 0.3135 0.0000
Zn 0.8272 0.8135 0.0000
Sb 0.2313 0.8950 0.5000
Sb 0.2687 0.3950 0.5000
Sb 0.7313 0.6050 0.5000
Sb 0.7687 0.1050 0.5000
O 0.0000 0.0000 0.5000
O 0.1206 0.8451 0.0000
O 0.2395 0.2188 0.5000
O 0.2605 0.7188 0.5000
O 0.3794 0.3451 0.0000
O 0.5000 0.5000 0.5000
O 0.6206 0.6549 0.0000
O 0.7395 0.2812 0.5000
O 0.7605 0.7812 0.5000
O 0.8794 0.1549 0.0000

---

[7]
For TmZnGe, a crystal structure in the Materials Project, relaxed with GGA-PBE gives the calculated powder diffractogram in this record (Cu Kα X-rays).
Lines closer than 0.1° are merged.

Most intense lines, 2θ = 10–80°, sorted by position:
2θ 24.30, d 3.663, I = 19
2θ 33.92, d 2.643, I = 100
2θ 42.76, d 2.115, I = 48
2θ 47.65, d 1.908, I = 7
2θ 54.20, d 1.692, I = 8
2θ 55.67, d 1.651, I = 24
2θ 65.93, d 1.417, I = 16
2θ 72.65, d 1.301, I = 22
2θ 78.31, d 1.221, I = 8
2θ 79.80, d 1.202, I = 5

Crystal structure
Cell lengths 4.2293, 4.2293, 15.2667 Å; angles 90.00, 90.00, 120.00 degrees
Fractional coordinates of all 12 atoms:
Tm 0.0000 0.0000 0.0000
Tm 0.0000 0.0000 0.2500
Tm 0.0000 0.0000 0.5000
Tm 0.0000 0.0000 0.7500
Zn 0.3333 0.6667 0.1500
Zn 0.3333 0.6667 0.3500
Zn 0.6667 0.3333 0.6500
Zn 0.6667 0.3333 0.8500
Ge 0.3333 0.6667 0.6111
Ge 0.3333 0.6667 0.8889
Ge 0.6667 0.3333 0.1111
Ge 0.6667 0.3333 0.3889

---

[8]
For ReTe, a crystal structure in the Materials Project, relaxed with GGA-PBE gives the calculated powder diffractogram in this record (Cu Kα X-rays).
Lines closer than 0.1° are merged.

Most intense lines, 2θ = 10–80°, sorted by position:
2θ 20.04, d 4.431, I = 24
2θ 31.31, d 2.857, I = 47
2θ 32.94, d 2.719, I = 92
2θ 40.73, d 2.216, I = 21
2θ 44.10, d 2.054, I = 100
2θ 52.25, d 1.751, I = 15
2θ 55.73, d 1.649, I = 37
2θ 66.27, d 1.410, I = 12
2θ 71.28, d 1.323, I = 24
2θ 73.66, d 1.286, I = 22

Crystal structure
Cell lengths 3.2990, 3.2990, 8.8621 Å; angles 90.00, 90.00, 120.00 degrees
Fractional coordinates of all 4 atoms:
Re 0.3333 0.6667 0.0000
Re 0.6667 0.3333 0.5000
Te 0.3333 0.6667 0.2993
Te 0.6667 0.3333 0.7993